# LaHg
Computed powder XRD pattern, CuKα. Input: a structure optimized by DFT (GGA-PBE).
Peak positions follow from Bragg's law for the DFT cell and can differ from measured ones.

Crystal structure
a = 3.9817 Å, b = 5.2490 Å, c = 11.2037 Å
α = 90.00°, β = 90.00°, γ = 90.00°
Space group Imma (No. 74)
Unique sites:
La 0.0000 0.2500 0.1143
Hg 0.0000 0.2500 0.6439

The 10 most intense peaks (2θ = 15–90°), in order of rising 2θ:
index	2θ/deg	I_rel
0 0 4	31.95	23
1 1 2	32.43	100
0 2 0	34.16	23
2 0 0	45.56	10
0 2 4	47.47	15
2 0 4	56.73	9
1 1 6	57.25	14
2 2 0	58.16	10
1 3 2	60.07	17
2 2 4	67.92	12

=====

# Cs2AlHgBr5
Computed powder XRD pattern, CuKα. Input: a structure optimized by DFT (GGA-PBE).
Peak positions follow from Bragg's law for the DFT cell and can differ from measured ones.

Crystal structure
a = 8.1458 Å, b = 8.1458 Å, c = 10.3340 Å
α = 90.00°, β = 90.00°, γ = 90.00°
Space group I4mm (No. 107)
Unique sites:
Cs 0.0000 0.5000 0.0000
Al 0.0000 0.0000 0.2090
Hg 0.0000 0.0000 0.5830
Br 0.0000 0.0000 0.9803
Br 0.2117 0.2117 0.2579

The 10 most intense peaks (2θ = 15–90°), in order of rising 2θ:
index	2θ/deg	I_rel
2 0 0	21.82	13
2 1 1	25.93	13
2 0 2	27.89	100
1 0 3	28.13	20
2 2 0	31.05	48
4 0 0	44.49	15
2 2 4	47.27	13
3 2 3	48.17	17
4 2 0	50.03	14
4 2 2	53.33	22